# 1
Computed X-ray powder pattern of Cs2Cd15Hg2 for Cu Kα, from a crystal structure in Alexandria, relaxed with PBE.
Peak positions follow from Bragg's law for the DFT cell and can differ from measured ones.

The 6 most intense peaks (10 to 90 degrees two-theta), in order of rising 2θ:
28.80 deg, I = 56
30.12 deg, I = 48
33.38 deg, I = 97
33.77 deg, I = 100
34.92 deg, I = 71
37.81 deg, I = 96

Atomic structure:
a = 8.053 Å, b = 8.053 Å, c = 8.053 Å
α = 83.63°, β = 83.63°, γ = 83.63°
Sites, in units of the cell vectors:
Cs (0.156, 0.156, 0.156)
Cs (0.844, 0.844, 0.844)
Cd (0.000, 0.500, 0.500)
Cd (0.153, 0.153, 0.650)
Cd (0.153, 0.650, 0.153)
Cd (0.207, 0.500, 0.793)
Cd (0.207, 0.793, 0.500)
Cd (0.350, 0.847, 0.847)
Cd (0.500, 0.000, 0.500)
Cd (0.500, 0.207, 0.793)
Cd (0.500, 0.500, 0.000)
Cd (0.500, 0.793, 0.207)
Cd (0.650, 0.153, 0.153)
Cd (0.793, 0.207, 0.500)
Cd (0.793, 0.500, 0.207)
Cd (0.847, 0.350, 0.847)
Cd (0.847, 0.847, 0.350)
Hg (0.399, 0.399, 0.399)
Hg (0.601, 0.601, 0.601)

---

# 2
Computed X-ray powder pattern of Cs2Cd3Hg5 for Cu Kα, from a crystal structure in Alexandria, relaxed with PBE.
Peak positions follow from Bragg's law for the DFT cell and can differ from measured ones.

The 6 most intense peaks (10 to 90 degrees two-theta), in order of rising 2θ:
27.44 deg, I = 58
28.36 deg, I = 51
28.56 deg, I = 59
32.85 deg, I = 100
38.88 deg, I = 29
39.56 deg, I = 27

Atomic structure:
a = 10.254 Å, b = 10.254 Å, c = 10.254 Å
α = 112.19°, β = 85.37°, γ = 134.68°
Sites, in units of the cell vectors:
Cs (0.128, 0.244, 0.372)
Cs (0.372, 0.744, 0.116)
Cs (0.628, 0.256, 0.884)
Cs (0.872, 0.756, 0.628)
Cd (0.128, 0.889, 0.017)
Cd (0.250, 0.750, 0.500)
Cd (0.372, 0.389, 0.762)
Cd (0.628, 0.611, 0.238)
Cd (0.750, 0.250, 0.500)
Cd (0.872, 0.111, 0.983)
Hg (0.008, 0.750, 0.258)
Hg (0.117, 0.629, 0.746)
Hg (0.250, 0.250, 0.000)
Hg (0.383, 0.129, 0.512)
Hg (0.492, 0.750, 0.742)
Hg (0.508, 0.250, 0.258)
Hg (0.617, 0.871, 0.488)
Hg (0.750, 0.750, 0.000)
Hg (0.883, 0.371, 0.254)
Hg (0.992, 0.250, 0.742)

---

# 3
Computed X-ray powder pattern of Cs3Cd2Hg3 for Cu Kα, from a crystal structure in Alexandria, relaxed with PBE.
Peak positions follow from Bragg's law for the DFT cell and can differ from measured ones.

The 6 most intense peaks (10 to 90 degrees two-theta), in order of rising 2θ:
25.28 deg, I = 59
25.75 deg, I = 61
26.28 deg, I = 100
29.21 deg, I = 83
29.45 deg, I = 56
33.25 deg, I = 67

Atomic structure:
a = 7.484 Å, b = 7.484 Å, c = 18.377 Å
α = 90.00°, β = 90.00°, γ = 137.79°
Sites, in units of the cell vectors:
Cs (0.073, 0.927, 0.604)
Cs (0.073, 0.927, 0.896)
Cs (0.374, 0.626, 0.750)
Cs (0.626, 0.374, 0.250)
Cs (0.927, 0.073, 0.104)
Cs (0.927, 0.073, 0.396)
Cd (0.220, 0.780, 0.093)
Cd (0.220, 0.780, 0.407)
Cd (0.780, 0.220, 0.593)
Cd (0.780, 0.220, 0.907)
Hg (0.328, 0.672, 0.250)
Hg (0.359, 0.641, 0.541)
Hg (0.359, 0.641, 0.959)
Hg (0.641, 0.359, 0.041)
Hg (0.641, 0.359, 0.459)
Hg (0.672, 0.328, 0.750)

---

# 4
Computed X-ray powder pattern of Cs2K4Cd2Hg for Cu Kα, from a crystal structure in Alexandria, relaxed with PBE.
Peak positions follow from Bragg's law for the DFT cell and can differ from measured ones.

The 6 most intense peaks (10 to 90 degrees two-theta), in order of rising 2θ:
16.28 deg, I = 100
21.44 deg, I = 72
24.19 deg, I = 80
24.41 deg, I = 68
25.45 deg, I = 72
29.04 deg, I = 70

Atomic structure:
a = 6.172 Å, b = 8.648 Å, c = 11.092 Å
α = 107.27°, β = 92.23°, γ = 106.17°
Sites, in units of the cell vectors:
Cs (0.155, 0.349, 0.185)
Cs (0.845, 0.651, 0.815)
K (0.095, 0.249, 0.590)
K (0.479, 0.921, 0.177)
K (0.521, 0.079, 0.823)
K (0.905, 0.751, 0.410)
Cd (0.391, 0.658, 0.550)
Cd (0.609, 0.342, 0.450)
Hg (0.500, 0.000, 0.500)

---

# 5
Computed X-ray powder pattern of Cs2Na5CdHg2 for Cu Kα, from a crystal structure in Alexandria, relaxed with PBE.
Peak positions follow from Bragg's law for the DFT cell and can differ from measured ones.

The 6 most intense peaks (10 to 90 degrees two-theta), in order of rising 2θ:
20.77 deg, I = 71
21.19 deg, I = 50
23.72 deg, I = 23
29.84 deg, I = 100
32.02 deg, I = 41
34.07 deg, I = 23

Atomic structure:
a = 13.523 Å, b = 13.523 Å, c = 4.193 Å
α = 90.00°, β = 90.00°, γ = 90.00°
Sites, in units of the cell vectors:
Cs (0.175, 0.325, 0.000)
Cs (0.325, 0.825, 0.000)
Cs (0.675, 0.175, 0.000)
Cs (0.825, 0.675, 0.000)
Na (0.000, 0.500, 0.500)
Na (0.059, 0.810, 0.500)
Na (0.190, 0.059, 0.500)
Na (0.310, 0.559, 0.500)
Na (0.441, 0.310, 0.500)
Na (0.500, 0.000, 0.500)
Na (0.559, 0.690, 0.500)
Na (0.690, 0.441, 0.500)
Na (0.810, 0.941, 0.500)
Na (0.941, 0.190, 0.500)
Cd (0.000, 0.000, 0.000)
Cd (0.500, 0.500, 0.000)
Hg (0.128, 0.628, 0.000)
Hg (0.372, 0.128, 0.000)
Hg (0.628, 0.872, 0.000)
Hg (0.872, 0.372, 0.000)

---

# 6
Computed X-ray powder pattern of Cs3Na2Cd2Hg4 for Cu Kα, from a crystal structure in Alexandria, relaxed with PBE.
Peak positions follow from Bragg's law for the DFT cell and can differ from measured ones.

The 6 most intense peaks (10 to 90 degrees two-theta), in order of rising 2θ:
21.43 deg, I = 53
23.78 deg, I = 36
26.74 deg, I = 100
33.86 deg, I = 99
43.65 deg, I = 27
51.05 deg, I = 30

Atomic structure:
a = 5.296 Å, b = 5.296 Å, c = 19.414 Å
α = 90.00°, β = 90.00°, γ = 120.00°
Sites, in units of the cell vectors:
Cs (0.000, 0.000, 0.000)
Cs (0.000, 0.000, 0.270)
Cs (0.000, 0.000, 0.730)
Na (0.333, 0.667, 0.556)
Na (0.667, 0.333, 0.444)
Cd (0.333, 0.667, 0.136)
Cd (0.667, 0.333, 0.864)
Hg (0.333, 0.667, 0.390)
Hg (0.333, 0.667, 0.864)
Hg (0.667, 0.333, 0.136)
Hg (0.667, 0.333, 0.610)

---

# 7
Computed X-ray powder pattern of CsCdHgO2 for Cu Kα, from a crystal structure in Alexandria, relaxed with PBE.
Peak positions follow from Bragg's law for the DFT cell and can differ from measured ones.

The 6 most intense peaks (10 to 90 degrees two-theta), in order of rising 2θ:
13.04 deg, I = 99
26.25 deg, I = 91
32.24 deg, I = 68
32.77 deg, I = 43
33.13 deg, I = 100
38.35 deg, I = 48

Atomic structure:
a = 6.911 Å, b = 5.895 Å, c = 6.409 Å
α = 90.00°, β = 100.76°, γ = 90.00°
Sites, in units of the cell vectors:
Cs (0.000, 0.208, 0.250)
Cs (0.000, 0.792, 0.750)
Cd (0.500, 0.016, 0.750)
Cd (0.500, 0.984, 0.250)
Hg (0.500, 0.500, 0.000)
Hg (0.500, 0.500, 0.500)
O (0.313, 0.166, 0.969)
O (0.313, 0.834, 0.469)
O (0.687, 0.166, 0.531)
O (0.687, 0.834, 0.031)

---

# 8
Computed X-ray powder pattern of Cs3Cd9HgPt2 for Cu Kα, from a crystal structure in Alexandria, relaxed with PBE.
Peak positions follow from Bragg's law for the DFT cell and can differ from measured ones.

The 6 most intense peaks (10 to 90 degrees two-theta), in order of rising 2θ:
16.17 deg, I = 39
22.95 deg, I = 48
28.20 deg, I = 35
32.68 deg, I = 100
46.89 deg, I = 71
77.96 deg, I = 30

Atomic structure:
a = 7.748 Å, b = 7.748 Å, c = 9.501 Å
α = 90.00°, β = 90.00°, γ = 120.00°
Sites, in units of the cell vectors:
Cs (0.000, 0.000, 0.000)
Cs (0.333, 0.667, 0.670)
Cs (0.667, 0.333, 0.330)
Cd (0.000, 0.500, 0.000)
Cd (0.174, 0.349, 0.325)
Cd (0.174, 0.826, 0.325)
Cd (0.349, 0.174, 0.675)
Cd (0.500, 0.000, 0.000)
Cd (0.500, 0.500, 0.000)
Cd (0.651, 0.826, 0.325)
Cd (0.826, 0.174, 0.675)
Cd (0.826, 0.651, 0.675)
Hg (0.000, 0.000, 0.500)
Pt (0.333, 0.667, 0.156)
Pt (0.667, 0.333, 0.844)

---

# 9
Computed X-ray powder pattern of Cs2Rb2CdHg2 for Cu Kα, from a crystal structure in Alexandria, relaxed with PBE.
Peak positions follow from Bragg's law for the DFT cell and can differ from measured ones.

The 6 most intense peaks (10 to 90 degrees two-theta), in order of rising 2θ:
12.70 deg, I = 31
22.39 deg, I = 53
24.51 deg, I = 35
26.94 deg, I = 100
27.52 deg, I = 55
32.77 deg, I = 47

Atomic structure:
a = 6.483 Å, b = 8.077 Å, c = 8.983 Å
α = 65.89°, β = 68.89°, γ = 89.98°
Sites, in units of the cell vectors:
Cs (0.169, 0.266, 0.164)
Cs (0.831, 0.734, 0.836)
Rb (0.422, 0.200, 0.656)
Rb (0.578, 0.800, 0.344)
Cd (0.000, 0.500, 0.500)
Hg (0.192, 0.777, 0.113)
Hg (0.808, 0.223, 0.887)

---

# 10
Computed X-ray powder pattern of Cs2Rb3Cd4Hg2 for Cu Kα, from a crystal structure in Alexandria, relaxed with PBE.
Peak positions follow from Bragg's law for the DFT cell and can differ from measured ones.

The 6 most intense peaks (10 to 90 degrees two-theta), in order of rising 2θ:
15.17 deg, I = 52
27.88 deg, I = 90
29.99 deg, I = 100
38.85 deg, I = 29
42.92 deg, I = 37
51.96 deg, I = 30

Atomic structure:
a = 15.341 Å, b = 15.341 Å, c = 15.341 Å
α = 157.60°, β = 157.60°, γ = 31.89°
Sites, in units of the cell vectors:
Cs (0.174, 0.174, 0.000)
Cs (0.826, 0.826, 0.000)
Rb (0.337, 0.337, 0.000)
Rb (0.500, 0.500, 0.000)
Rb (0.663, 0.663, 0.000)
Cd (0.082, 0.582, 0.500)
Cd (0.418, 0.918, 0.500)
Cd (0.582, 0.082, 0.500)
Cd (0.918, 0.418, 0.500)
Hg (0.050, 0.050, 0.000)
Hg (0.950, 0.950, 0.000)

---

# 11
Computed X-ray powder pattern of Cs2Rb5CdHg2 for Cu Kα, from a crystal structure in Alexandria, relaxed with PBE.
Peak positions follow from Bragg's law for the DFT cell and can differ from measured ones.

The 6 most intense peaks (10 to 90 degrees two-theta), in order of rising 2θ:
23.50 deg, I = 25
24.19 deg, I = 22
25.03 deg, I = 100
26.94 deg, I = 42
28.74 deg, I = 19
34.95 deg, I = 24

Atomic structure:
a = 15.607 Å, b = 15.607 Å, c = 5.135 Å
α = 90.00°, β = 90.00°, γ = 90.00°
Sites, in units of the cell vectors:
Cs (0.177, 0.323, 0.000)
Cs (0.323, 0.823, 0.000)
Cs (0.677, 0.177, 0.000)
Cs (0.823, 0.677, 0.000)
Rb (0.000, 0.500, 0.500)
Rb (0.062, 0.804, 0.500)
Rb (0.196, 0.062, 0.500)
Rb (0.304, 0.562, 0.500)
Rb (0.438, 0.304, 0.500)
Rb (0.500, 0.000, 0.500)
Rb (0.562, 0.696, 0.500)
Rb (0.696, 0.438, 0.500)
Rb (0.804, 0.938, 0.500)
Rb (0.938, 0.196, 0.500)
Cd (0.000, 0.000, 0.000)
Cd (0.500, 0.500, 0.000)
Hg (0.131, 0.631, 0.000)
Hg (0.369, 0.131, 0.000)
Hg (0.631, 0.869, 0.000)
Hg (0.869, 0.369, 0.000)

---

# 12
Computed X-ray powder pattern of CsCd4HgSb2 for Cu Kα, from a crystal structure in Alexandria, relaxed with PBE.
Peak positions follow from Bragg's law for the DFT cell and can differ from measured ones.

The 6 most intense peaks (10 to 90 degrees two-theta), in order of rising 2θ:
24.64 deg, I = 100
36.08 deg, I = 82
37.74 deg, I = 69
42.24 deg, I = 39
45.60 deg, I = 39
67.06 deg, I = 27

Atomic structure:
a = 4.767 Å, b = 4.767 Å, c = 11.076 Å
α = 90.00°, β = 90.00°, γ = 90.00°
Sites, in units of the cell vectors:
Cs (0.000, 0.000, 0.000)
Cd (0.000, 0.500, 0.342)
Cd (0.000, 0.500, 0.658)
Cd (0.500, 0.000, 0.342)
Cd (0.500, 0.000, 0.658)
Hg (0.000, 0.000, 0.500)
Sb (0.500, 0.500, 0.189)
Sb (0.500, 0.500, 0.811)